[1]
# Pd3Pt3Rh
Computed PXRD pattern, Cu Kα, 1.54184 Å. Input: the PBE geometry in Alexandria.
Neutral-atom scattering factors, no anomalous dispersion.

Largest 6 diffraction maxima, by angle, 2θ = 10–90°:
| d (Å) | I_rel |
| --- | --- |
| 5.787 | 86 |
| 2.276 | 1000 |
| 1.971 | 488 |
| 1.394 | 316 |
| 1.189 | 378 |
| 1.138 | 84 |

```
14
Lattice="3.6893 2.1300 4.5482 -3.6893 2.1300 4.5482 0.0000 -4.2600 4.5482" Properties=species:S:1:pos:R:3 pbc="T T T"
Pd -1.5763 -0.3084 5.6709
Pd -0.5210 -1.5193 7.9737
Pd 1.0552 -1.2109 5.6709
Pd -1.0552 1.2109 7.9737
Pd 0.5210 1.5193 5.6709
Pd 1.5763 0.3084 7.9737
Pt -1.0690 -3.0506 5.6963
Pt -3.1764 -0.5995 7.9483
Pt -2.1074 2.4511 5.6963
Pt 2.1074 -2.4511 7.9483
Pt 3.1764 0.5995 5.6963
Pt 1.0690 3.0506 7.9483
Rh 0.0000 0.0000 3.3874
Rh 0.0000 0.0000 10.2572
```



[2]
# PdPt3Rh
Computed PXRD pattern, Cu Kα, 1.54184 Å. Input: the PBE geometry in Alexandria.
Neutral-atom scattering factors, no anomalous dispersion.

Largest 6 diffraction maxima, by angle, 2θ = 10–90°:
| d (Å) | I_rel |
| --- | --- |
| 2.518 | 798 |
| 2.172 | 1000 |
| 2.107 | 485 |
| 1.645 | 221 |
| 1.311 | 208 |
| 1.241 | 178 |

```
10
Lattice="4.3440 0.0000 0.0000 -2.1720 3.7620 0.0000 0.0000 0.0000 10.1703" Properties=species:S:1:pos:R:3 pbc="T T T"
Pd 0.0000 2.5080 2.5426
Pd 2.1720 1.2540 7.6277
Pt 0.0000 0.0000 2.5426
Pt 0.0000 0.0000 7.6277
Pt 0.0000 2.5080 6.1320
Pt 0.0000 2.5080 9.1235
Pt 2.1720 1.2540 1.0468
Pt 2.1720 1.2540 4.0383
Rh 0.0000 0.0000 0.0000
Rh 0.0000 0.0000 5.0852
```



[3]
# Pd3Pt3Rh2
Computed PXRD pattern, Cu Kα, 1.54184 Å. Input: the PBE geometry in Alexandria.
Neutral-atom scattering factors, no anomalous dispersion.

Largest 6 diffraction maxima, by angle, 2θ = 10–90°:
| d (Å) | I_rel |
| --- | --- |
| 2.267 | 1000 |
| 1.975 | 165 |
| 1.962 | 162 |
| 1.953 | 160 |
| 1.189 | 127 |
| 1.183 | 125 |

```
8
Lattice="3.9066 0.0000 0.0000 0.0000 3.9245 0.0000 0.0000 0.0000 7.9000" Properties=species:S:1:pos:R:3 pbc="T T T"
Pd 0.0000 0.0000 0.0000
Pd 0.0000 1.9623 1.9622
Pd 0.0000 1.9623 5.9379
Pt 0.0000 0.0000 3.9500
Pt 1.9533 1.9623 0.0000
Pt 1.9533 1.9623 3.9500
Rh 1.9533 0.0000 1.9869
Rh 1.9533 0.0000 5.9131
```



[4]
# Pd5Pt6Rh
Computed PXRD pattern, Cu Kα, 1.54184 Å. Input: the PBE geometry in Alexandria.
Neutral-atom scattering factors, no anomalous dispersion.

Largest 6 diffraction maxima, by angle, 2θ = 10–90°:
| d (Å) | I_rel |
| --- | --- |
| 2.278 | 1000 |
| 1.980 | 164 |
| 1.972 | 163 |
| 1.966 | 162 |
| 1.193 | 127 |
| 1.189 | 126 |

```
12
Lattice="-1.9664 3.9595 5.9146 1.9664 -3.9595 5.9146 1.9664 3.9595 -5.9146" Properties=species:S:1:pos:R:3 pbc="T T T"
Pd 0.0000 0.0000 0.0000
Pd 1.9664 0.0000 1.9702
Pd 0.0000 0.0000 3.9331
Pd 0.0000 0.0000 7.8962
Pd 0.0000 3.9595 3.9444
Pt 1.9664 -1.9617 3.9582
Pt 1.9664 2.0090 0.0000
Pt 0.0000 1.9978 1.9564
Pt 1.9664 1.9617 3.9582
Pt 0.0000 1.9506 5.9146
Pt 0.0000 5.9212 1.9564
Rh 0.0000 3.9595 0.0000
```



[5]
# PdPt8Rh4
Computed PXRD pattern, Cu Kα, 1.54184 Å. Input: the PBE geometry in Alexandria.
Neutral-atom scattering factors, no anomalous dispersion.

Largest 6 diffraction maxima, by angle, 2θ = 10–90°:
| d (Å) | I_rel |
| --- | --- |
| 2.268 | 1000 |
| 1.968 | 328 |
| 1.958 | 162 |
| 1.388 | 211 |
| 1.186 | 255 |
| 1.182 | 127 |

```
13
Lattice="4.3982 -1.9581 0.0000 4.3982 1.9581 0.0000 -0.8910 0.0000 11.4441" Properties=species:S:1:pos:R:3 pbc="T T T"
Pd 0.0000 0.0000 0.0000
Pt -0.0239 0.0000 8.8069
Pt 1.7693 0.0000 3.5388
Pt 2.6365 0.0000 0.8778
Pt 3.4991 0.0000 7.0234
Pt 4.4063 0.0000 4.4207
Pt 5.2689 0.0000 10.5663
Pt 6.1361 0.0000 7.9054
Pt 7.9292 0.0000 2.6373
Rh 0.8760 0.0000 6.1485
Rh 2.6161 0.0000 9.6650
Rh 5.2893 0.0000 1.7791
Rh 7.0294 0.0000 5.2956
```



[6]
# SbPdPtRh
Computed PXRD pattern, Cu Kα, 1.54184 Å. Input: the PBE geometry in Alexandria.
Neutral-atom scattering factors, no anomalous dispersion.

Largest 6 diffraction maxima, by angle, 2θ = 10–90°:
| d (Å) | I_rel |
| --- | --- |
| 2.320 | 1000 |
| 2.091 | 373 |
| 1.871 | 125 |
| 1.479 | 122 |
| 1.394 | 189 |
| 1.247 | 274 |

```
8
Lattice="4.1829 0.0000 0.0000 0.0000 4.1829 0.0000 0.0000 0.0000 7.4825" Properties=species:S:1:pos:R:3 pbc="T T T"
Sb 1.0457 1.0457 1.7278
Sb 3.1371 3.1371 5.7547
Pd 1.0457 1.0457 5.5804
Pd 3.1371 3.1371 1.9022
Pt 1.0457 3.1371 3.7413
Pt 3.1371 1.0457 3.7413
Rh 1.0457 3.1371 0.0000
Rh 3.1371 1.0457 0.0000
```



[7]
# SnPdPtRh
Computed PXRD pattern, Cu Kα, 1.54184 Å. Input: the PBE geometry in Alexandria.
Neutral-atom scattering factors, no anomalous dispersion.

Largest 6 diffraction maxima, by angle, 2θ = 10–90°:
| d (Å) | I_rel |
| --- | --- |
| 2.319 | 1000 |
| 2.052 | 175 |
| 1.995 | 160 |
| 1.978 | 156 |
| 1.230 | 134 |
| 1.205 | 126 |

```
4
Lattice="3.9569 0.0000 0.0000 0.0000 3.9904 0.0000 0.0000 0.0000 4.1045" Properties=species:S:1:pos:R:3 pbc="T T T"
Sn 0.0000 0.0000 0.0000
Pd 0.0000 1.9952 2.0522
Pt 1.9785 0.0000 2.0522
Rh 1.9785 1.9952 0.0000
```



[8]
# TiPdPtRh
Computed PXRD pattern, Cu Kα, 1.54184 Å. Input: the PBE geometry in Alexandria.
Neutral-atom scattering factors, no anomalous dispersion.

Largest 6 diffraction maxima, by angle, 2θ = 10–90°:
| d (Å) | I_rel |
| --- | --- |
| 2.254 | 1000 |
| 1.984 | 170 |
| 1.947 | 160 |
| 1.926 | 155 |
| 1.191 | 127 |
| 1.175 | 122 |

```
4
Lattice="3.8525 0.0000 0.0000 0.0000 3.8938 0.0000 0.0000 0.0000 3.9688" Properties=species:S:1:pos:R:3 pbc="T T T"
Ti 0.0000 0.0000 0.0000
Pd 0.0000 1.9469 1.9844
Pt 1.9262 0.0000 1.9844
Rh 1.9262 1.9469 0.0000
```



[9]
# UPdPt2Rh
Computed PXRD pattern, Cu Kα, 1.54184 Å. Input: the PBE geometry in Alexandria.
Neutral-atom scattering factors, no anomalous dispersion.

Largest 6 diffraction maxima, by angle, 2θ = 10–90°:
| d (Å) | I_rel |
| --- | --- |
| 2.360 | 1000 |
| 2.345 | 974 |
| 2.135 | 395 |
| 2.012 | 302 |
| 1.975 | 299 |
| 1.450 | 233 |

```
10
Lattice="6.4205 0.0000 0.0000 0.0000 3.9506 0.0000 -0.2890 0.0000 6.6881" Properties=species:S:1:pos:R:3 pbc="T T T"
U 1.4577 0.9876 1.6076
U 4.6738 2.9629 5.0804
Pd 1.9719 2.9629 6.3080
Pd 4.1596 0.9876 0.3800
Pt 0.8115 2.9629 3.6821
Pt 2.7638 0.9876 4.3565
Pt 3.3677 2.9629 2.3316
Pt 5.3200 0.9876 3.0060
Rh -0.0160 0.9876 5.6421
Rh 6.1475 2.9629 1.0459
```



[10]
# ZrPdRu2Pt
Computed PXRD pattern, Cu Kα, 1.54184 Å. Input: the PBE geometry in Alexandria.
Neutral-atom scattering factors, no anomalous dispersion.

Largest 6 diffraction maxima, by angle, 2θ = 10–90°:
| d (Å) | I_rel |
| --- | --- |
| 3.374 | 499 |
| 2.738 | 1000 |
| 2.429 | 438 |
| 2.344 | 790 |
| 1.687 | 571 |
| 1.369 | 282 |

```
5
Lattice="4.6880 0.0000 0.0000 0.0000 4.6880 0.0000 0.0000 0.0000 4.8585" Properties=species:S:1:pos:R:3 pbc="T T T"
Zr 0.0000 0.0000 0.0000
Pd 0.0000 0.0000 2.4292
Ru 0.0000 2.3440 2.4292
Ru 2.3440 0.0000 2.4292
Pt 2.3440 2.3440 0.0000
```



[11]
# Sb3Pd8Pt2
Computed PXRD pattern, Cu Kα, 1.54184 Å. Input: the PBE geometry in Alexandria.
Neutral-atom scattering factors, no anomalous dispersion.

Largest 6 diffraction maxima, by angle, 2θ = 10–90°:
| d (Å) | I_rel |
| --- | --- |
| 2.640 | 606 |
| 2.550 | 345 |
| 2.313 | 1000 |
| 2.260 | 609 |
| 2.132 | 374 |
| 1.453 | 456 |

```
13
Lattice="2.6403 1.5244 9.8302 -2.6403 1.5244 9.8302 0.0000 -3.0488 9.8302" Properties=species:S:1:pos:R:3 pbc="T T T"
Sb 0.0000 0.0000 0.0000
Sb 0.0000 0.0000 5.5312
Sb 0.0000 0.0000 23.9594
Pd -1.3195 -0.7618 16.4720
Pd 0.0000 0.0000 8.0955
Pd 0.0000 -1.5236 13.0186
Pd -1.3195 0.7618 13.0186
Pd 1.3195 -0.7618 16.4720
Pd 0.0000 1.5236 16.4720
Pd 0.0000 0.0000 21.3950
Pd 1.3195 0.7618 13.0185
Pt 0.0000 0.0000 10.6941
Pt 0.0000 0.0000 18.7964
```



[12]
# Sb2PdPt6
Computed PXRD pattern, Cu Kα, 1.54184 Å. Input: the PBE geometry in Alexandria.
Neutral-atom scattering factors, no anomalous dispersion.

Largest 6 diffraction maxima, by angle, 2θ = 10–90°:
| d (Å) | I_rel |
| --- | --- |
| 3.085 | 658 |
| 2.196 | 791 |
| 2.183 | 734 |
| 2.168 | 1000 |
| 1.877 | 309 |
| 1.423 | 380 |

```
9
Lattice="5.4165 -4.1100 0.0000 5.4165 4.1100 0.0000 -0.0082 0.0000 3.7530" Properties=species:S:1:pos:R:3 pbc="T T T"
Sb 5.4165 2.3601 0.0000
Sb 5.4165 -2.3601 0.0000
Pd 6.2884 0.0000 1.8658
Pt 3.8415 1.3341 1.8741
Pt 2.1379 0.0000 3.7479
Pt 3.8415 -1.3341 1.8741
Pt 7.7891 1.3425 3.7457
Pt 9.5462 0.0000 1.8733
Pt 7.7891 -1.3425 3.7457
```